For MgCu2Te2O8, a DFT-relaxed cell (PBE, the Materials Project) gives the theoretical XRD peak list in this record (Cu Kα X-rays).
Intensities are scaled so that the largest is 100.

Principal peaks in the range 5° ≤ 2θ ≤ 70°, in order of rising 2θ:
d/Å, intensity
5.241, 18
4.958, 100
2.791, 20
2.743, 38
2.679, 22
2.479, 16
2.388, 25
2.160, 41
1.629, 19
1.576, 14

Cell lengths 6.3446, 6.3446, 6.4820 Å; angles 118.27, 118.27, 54.39 degrees
Positions (direct):
Mg 0.0000 0.0000 0.0000
Cu 0.1630 0.6637 0.4491
Cu 0.6637 0.1630 0.4491
Te 0.6626 0.6626 0.9409
Te 0.6647 0.6647 0.4691
O 0.3983 0.8878 0.1203
O 0.4522 0.4522 0.2956
O 0.4585 0.4585 0.6992
O 0.4646 0.9087 0.7238
O 0.8724 0.8724 0.1732
O 0.8878 0.3983 0.1203
O 0.8979 0.8979 0.6355
O 0.9087 0.4646 0.7238